La2MoHO6: simulated powder diffraction line list (Cu Kα (weighted mean of Kα1 and Kα2)), based on a structure optimized by DFT (PBE+U).
Lines closer than 0.1° are merged.

Main lines, by angle (15° ≤ 2θ ≤ 90°):
2θ = 20.26°, I = 67, hkl 1 1 -1; 2θ = 22.44°, I = 41, hkl 0 0 1; 2θ = 28.79°, I = 72, hkl 2 0 0; 2θ = 30.80°, I = 94, hkl 0 2 1; 2θ = 30.96°, I = 100, hkl 2 2 -1; 2θ = 34.70°, I = 38, hkl 1 3 0; 2θ = 35.14°, I = 50, hkl 2 0 -2; 2θ = 35.80°, I = 29, hkl 2 2 0; 2θ = 42.38°, I = 33, hkl 0 4 0; 2θ = 46.26°, I = 28, hkl 4 0 -2

Crystal structure
```
data_La2MoHO6
_chemical_formula_sum 'La4 Mo2 H2 O12'
_space_group_name_H-M_alt 'C 1 m 1'
_space_group_IT_number 8
_cell_length_a 7.9984
_cell_length_b 8.5311
_cell_length_c 5.1084
_cell_angle_alpha 90.00
_cell_angle_beta 129.15
_cell_angle_gamma 90.00
loop_
_space_group_symop_operation_xyz
'x,y,z'
'x,-y,z'
'x+1/2,y+1/2,z'
'x+1/2,-y+1/2,z'
loop_
_atom_site_label
_atom_site_type_symbol
_atom_site_fract_x
_atom_site_fract_y
_atom_site_fract_z
La1 La 0.0000 0.2216 0.0000
Mo1 Mo 0.4460 0.0000 0.4137
H1 H 0.1408 0.0000 0.6827
O1 O 0.0451 0.5000 0.1528
O2 O 0.1310 0.0000 0.8687
O3 O 0.1976 0.0000 0.4152
O4 O 0.2288 0.5000 0.8209
O5 O 0.3981 0.2347 0.3703
```